# NpPRuO
Calculated PXRD pattern, λ = 1.5418 Å (Cu Kα). Input: a cell relaxed with GGA-PBE.
Lines closer than 0.1° are merged.

Atomic structure:
a = 3.9788 Å, b = 3.9788 Å, c = 7.8166 Å
α = 90.00°, β = 90.00°, γ = 90.00°
Atoms (fractional coordinates):
Np 0.2500 0.2500 0.1512
Np 0.7500 0.7500 0.8488
P 0.2500 0.2500 0.6546
P 0.7500 0.7500 0.3454
Ru 0.2500 0.7500 0.5000
Ru 0.7500 0.2500 0.5000
O 0.2500 0.7500 0.0000
O 0.7500 0.2500 0.0000

Largest 6 diffraction maxima, in order of rising 2θ, 10 to 80 degrees two-theta:
| 2θ (°) | d_spacing | I_rel | (hkl) |
| --- | --- | --- | --- |
| 25.1 | 3.546 | 78.0 | 1 0 1 |
| 32.1 | 2.788 | 100.0 | 1 0 2 |
| 33.9 | 2.647 | 58.9 | 1 1 1 |
| 39.5 | 2.283 | 39.3 | 1 1 2 |
| 45.6 | 1.989 | 44.9 | 2 0 0 |
| 56.9 | 1.619 | 40.2 | 2 1 2 |